Structure and simulated powder diffraction line list of Tm3Cu4Si4 (a GGA-PBE-relaxed structure; CuKα).
Peak positions follow from Bragg's law for the DFT cell and can differ from measured ones.

Main lines, low angle first (10° ≤ 2θ ≤ 80°):
2θ 22.72, I = 18
2θ 24.04, I = 23
2θ 28.99, I = 18
2θ 35.95, I = 100
2θ 37.18, I = 82
2θ 39.99, I = 17
2θ 44.30, I = 27
2θ 46.56, I = 28
2θ 61.90, I = 16
2θ 66.23, I = 26

Cell and atoms:
```
Tm3Cu4Si4
1.0
-2.0447 3.2451 6.7619
2.0447 -3.2451 6.7619
2.0447 3.2451 -6.7619
Tm Cu Si
3 4 4
direct
0.0000 0.0000 0.0000
0.3713 0.8713 0.5000
0.6287 0.1287 0.5000
0.0224 0.3308 0.6916
0.3607 0.6692 0.6916
0.6393 0.3308 0.3084
0.9776 0.6692 0.3084
0.2161 0.2161 0.0000
0.3143 0.5000 0.8143
0.6857 0.5000 0.1857
0.7839 0.7839 0.0000
```